Diffraction record for TbHo14Hf. The powder diffractogram is simulated, not measured: it uses a cell relaxed with GGA-PBE and Cu Ka.
Intensities are scaled so that the largest is 1000.

Largest 10 diffraction maxima, low angle first, 10 to 90 degrees two-theta:
two_theta	d [Å]	intensity
31.33	2.855	1000
36.33	2.473	505
52.32	1.749	356
62.22	1.492	282
62.35	1.489	139
65.37	1.428	121
85.53	1.135	59
85.64	1.134	116
88.33	1.107	110
88.53	1.105	54

Structure:
Cell lengths 7.000, 7.000, 9.874 Å; angles 90.00, 90.00, 90.00 degrees
Atoms (fractional coordinates):
1 Tb 0.000 0.000 0.000
2 Ho 0.000 0.000 0.500
3 Ho 0.000 0.500 0.000
4 Ho 0.000 0.500 0.500
5 Ho 0.255 0.255 0.245
6 Ho 0.255 0.255 0.755
7 Ho 0.255 0.745 0.245
8 Ho 0.255 0.745 0.755
9 Ho 0.500 0.000 0.000
10 Ho 0.500 0.000 0.500
11 Ho 0.500 0.500 0.500
12 Ho 0.745 0.255 0.245
13 Ho 0.745 0.255 0.755
14 Ho 0.745 0.745 0.245
15 Ho 0.745 0.745 0.755
16 Hf 0.500 0.500 0.000

=====

Diffraction record for La3SnPd8. The powder diffractogram is simulated, not measured: it uses a cell relaxed with GGA-PBE and Cu Ka.
Intensities are scaled so that the largest is 1000.

Largest 10 diffraction maxima, low angle first, 10 to 90 degrees two-theta:
two_theta	d [Å]	intensity
32.20	2.780	232
32.31	2.771	171
37.99	2.369	1000
38.10	2.362	242
39.73	2.269	329
39.92	2.259	128
57.45	1.604	111
61.32	1.512	280
67.37	1.390	186
67.63	1.385	111

Structure:
Cell lengths 9.587, 9.587, 9.587 Å; angles 33.71, 33.71, 33.71 degrees
Atoms (fractional coordinates):
1 La 0.000 0.000 0.000
2 La 0.131 0.131 0.131
3 La 0.608 0.608 0.608
4 Sn 0.481 0.481 0.481
5 Pd 0.056 0.562 0.562
6 Pd 0.060 0.060 0.565
7 Pd 0.060 0.565 0.060
8 Pd 0.311 0.311 0.311
9 Pd 0.562 0.056 0.562
10 Pd 0.562 0.562 0.056
11 Pd 0.565 0.060 0.060
12 Pd 0.812 0.812 0.812